# 1
Starting from a structure optimized by DFT (PBE+U), the X-ray powder pattern of CaMnF5 was simulated for copper Kα.
Lines closer than 0.1° are merged.

Structure:
```
data_CaMnF5
_chemical_formula_sum 'Ca4 Mn4 F20'
_space_group_name_H-M_alt 'P 1 21/c 1'
_space_group_IT_number 14
_cell_length_a 5.5396
_cell_length_b 10.0668
_cell_length_c 8.0497
_cell_angle_alpha 90.00
_cell_angle_beta 111.01
_cell_angle_gamma 90.00
loop_
_space_group_symop_operation_xyz
'x,y,z'
'-x,-y,-z'
'-x,y+1/2,-z+1/2'
'x,-y+1/2,z+1/2'
loop_
_atom_site_label
_atom_site_type_symbol
_atom_site_fract_x
_atom_site_fract_y
_atom_site_fract_z
_atom_site_occupancy
Ca1 Ca 0.0308 0.0207 0.2557 1
Mn1 Mn 0.3862 0.2468 0.5980 1
F1 F 0.1104 0.1181 0.5586 1
F2 F 0.1431 0.1117 0.0034 1
F3 F 0.3277 0.1930 0.3328 1
F4 F 0.3365 0.6359 0.3620 1
F5 F 0.3799 0.6089 0.8092 1
```

The 10 most intense peaks (2θ from 10° to 80°), in order of falling intensity:
25.3 deg, intensity 100; 24.7 deg, intensity 96; 19.3 deg, intensity 57; 44.2 deg, intensity 35; 29.7 deg, intensity 33; 45.0 deg, intensity 30; 50.2 deg, intensity 24; 50.4 deg, intensity 21; 53.1 deg, intensity 14; 52.0 deg, intensity 12

# 2
Starting from a structure optimized by DFT (PBE+U), the X-ray powder pattern of CaMn2F10 was simulated for copper Kα.
Lines closer than 0.1° are merged.

Structure:
```
data_CaMn2F10
_chemical_formula_sum 'Ca2 Mn4 F20'
_space_group_name_H-M_alt 'C 1 2 1'
_space_group_IT_number 5
_cell_length_a 8.9848
_cell_length_b 6.5188
_cell_length_c 7.4016
_cell_angle_alpha 90.00
_cell_angle_beta 114.90
_cell_angle_gamma 90.00
loop_
_space_group_symop_operation_xyz
'x,y,z'
'-x,y,-z'
'x+1/2,y+1/2,z'
'-x+1/2,y+1/2,-z'
loop_
_atom_site_label
_atom_site_type_symbol
_atom_site_fract_x
_atom_site_fract_y
_atom_site_fract_z
_atom_site_occupancy
Ca1 Ca 0.0000 0.0000 0.0000 1
Mn1 Mn 0.0034 0.4625 0.2551 1
F1 F 0.0000 0.3900 0.0000 1
F2 F 0.0000 0.5338 0.5000 1
F3 F 0.0115 0.1856 0.7220 1
F4 F 0.0109 0.7371 0.2073 1
F5 F 0.2192 0.4468 0.3646 1
F6 F 0.2241 0.4783 0.8664 1
```

The 10 most intense peaks (2θ from 10° to 80°), in order of falling intensity:
17.4 deg, intensity 100; 21.8 deg, intensity 98; 27.7 deg, intensity 91; 27.4 deg, intensity 44; 44.5 deg, intensity 35; 48.6 deg, intensity 31; 49.2 deg, intensity 22; 53.0 deg, intensity 20; 26.3 deg, intensity 20; 26.6 deg, intensity 18

# 3
Starting from a structure optimized by DFT (PBE+U), the X-ray powder pattern of CaMn8O13F3 was simulated for copper Kα.
Lines closer than 0.1° are merged.

Structure:
```
data_CaMn8O13F3
_chemical_formula_sum 'Ca1 Mn8 O13 F3'
_space_group_name_H-M_alt 'P 1'
_space_group_IT_number 1
_cell_length_a 5.8463
_cell_length_b 6.8514
_cell_length_c 7.1733
_cell_angle_alpha 95.01
_cell_angle_beta 99.68
_cell_angle_gamma 92.68
loop_
_space_group_symop_operation_xyz
'x,y,z'
loop_
_atom_site_label
_atom_site_type_symbol
_atom_site_fract_x
_atom_site_fract_y
_atom_site_fract_z
_atom_site_occupancy
Ca1 Ca 0.0000 0.0000 0.0000 1
Mn1 Mn 0.0230 0.6959 0.5741 1
Mn2 Mn 0.1455 0.1918 0.5850 1
Mn3 Mn 0.2225 0.6428 0.0809 1
Mn4 Mn 0.3993 0.4131 0.3654 1
Mn5 Mn 0.4608 0.9440 0.8541 1
Mn6 Mn 0.6186 0.9512 0.3846 1
Mn7 Mn 0.7024 0.4144 0.8012 1
Mn8 Mn 0.8022 0.3483 0.2053 1
O1 O 0.1037 0.2195 0.3173 1
O2 O 0.1805 0.6111 0.3411 1
O3 O 0.1937 0.7536 0.8332 1
O4 O 0.3792 0.9843 0.5777 1
O5 O 0.3871 0.8989 0.1454 1
O6 O 0.4018 0.3945 0.6286 1
O7 O 0.4970 0.4642 0.1312 1
O8 O 0.6314 0.2223 0.3718 1
O9 O 0.6813 0.1632 0.9171 1
O10 O 0.8266 0.9070 0.2298 1
O11 O 0.9127 0.9815 0.5856 1
O12 O 0.9488 0.4225 0.6178 1
O13 O 0.9504 0.4620 0.0171 1
F1 F 0.2181 0.1848 0.8561 1
F2 F 0.6568 0.6759 0.4544 1
F3 F 0.7007 0.7263 0.8374 1
```

The 10 most intense peaks (2θ from 10° to 80°), in order of falling intensity:
22.5 deg, intensity 100; 29.7 deg, intensity 97; 26.4 deg, intensity 91; 32.0 deg, intensity 78; 31.3 deg, intensity 75; 39.7 deg, intensity 73; 27.3 deg, intensity 64; 34.8 deg, intensity 43; 34.5 deg, intensity 42; 32.2 deg, intensity 32

# 4
Starting from a structure optimized by DFT (PBE+U), the X-ray powder pattern of CaMn8O13F3 was simulated for copper Kα.
Lines closer than 0.1° are merged.

Structure:
```
data_CaMn8O13F3
_chemical_formula_sum 'Ca1 Mn8 O13 F3'
_space_group_name_H-M_alt 'P 1'
_space_group_IT_number 1
_cell_length_a 5.7166
_cell_length_b 6.9159
_cell_length_c 7.3231
_cell_angle_alpha 87.69
_cell_angle_beta 82.90
_cell_angle_gamma 86.95
loop_
_space_group_symop_operation_xyz
'x,y,z'
loop_
_atom_site_label
_atom_site_type_symbol
_atom_site_fract_x
_atom_site_fract_y
_atom_site_fract_z
_atom_site_occupancy
Ca1 Ca 0.0000 0.0000 0.0000 1
Mn1 Mn 0.1621 0.0948 0.5154 1
Mn2 Mn 0.1838 0.5365 0.1005 1
Mn3 Mn 0.3290 0.5769 0.5625 1
Mn4 Mn 0.4490 0.0852 0.0919 1
Mn5 Mn 0.5939 0.9011 0.7467 1
Mn6 Mn 0.6970 0.3113 0.3151 1
Mn7 Mn 0.8580 0.3714 0.8051 1
Mn8 Mn 0.8906 0.8062 0.3503 1
O1 O 0.1122 0.5465 0.7747 1
O2 O 0.1485 0.6128 0.3667 1
O3 O 0.1841 0.0285 0.2720 1
O4 O 0.3718 0.8597 0.5753 1
O5 O 0.3929 0.8530 0.9713 1
O6 O 0.4116 0.2948 0.4980 1
O7 O 0.4612 0.3583 0.1279 1
O8 O 0.6752 0.1283 0.8715 1
O9 O 0.7041 0.0420 0.2623 1
O10 O 0.8951 0.9050 0.5873 1
O11 O 0.9077 0.2871 0.5106 1
O12 O 0.9241 0.7140 0.1055 1
O13 O 0.9467 0.3403 0.0820 1
F1 F 0.1668 0.1627 0.7684 1
F2 F 0.5974 0.5710 0.7374 1
F3 F 0.6326 0.5886 0.3785 1
```

The 10 most intense peaks (2θ from 10° to 80°), in order of falling intensity:
23.4 deg, intensity 100; 30.8 deg, intensity 88; 24.5 deg, intensity 69; 29.6 deg, intensity 56; 31.0 deg, intensity 51; 34.3 deg, intensity 40; 40.2 deg, intensity 38; 27.5 deg, intensity 37; 35.3 deg, intensity 33; 52.9 deg, intensity 28

# 5
Starting from a structure optimized by DFT (PBE+U), the X-ray powder pattern of CaMn8O13F3 was simulated for copper Kα.
Lines closer than 0.1° are merged.

Structure:
```
data_CaMn8O13F3
_chemical_formula_sum 'Ca1 Mn8 O13 F3'
_space_group_name_H-M_alt 'P 1'
_space_group_IT_number 1
_cell_length_a 5.7780
_cell_length_b 6.9278
_cell_length_c 7.0554
_cell_angle_alpha 83.75
_cell_angle_beta 85.88
_cell_angle_gamma 86.19
loop_
_space_group_symop_operation_xyz
'x,y,z'
loop_
_atom_site_label
_atom_site_type_symbol
_atom_site_fract_x
_atom_site_fract_y
_atom_site_fract_z
_atom_site_occupancy
Ca1 Ca 0.0000 0.0000 0.0000 1
Mn1 Mn 0.0849 0.6346 0.2728 1
Mn2 Mn 0.1789 0.2489 0.6121 1
Mn3 Mn 0.2807 0.6826 0.7419 1
Mn4 Mn 0.3701 0.1681 0.2496 1
Mn5 Mn 0.5299 0.9714 0.9290 1
Mn6 Mn 0.6347 0.4168 0.5113 1
Mn7 Mn 0.8201 0.4414 0.9933 1
Mn8 Mn 0.8277 0.9240 0.4975 1
O1 O 0.0569 0.6393 0.9878 1
O2 O 0.0579 0.1159 0.4269 1
O3 O 0.0729 0.7156 0.5334 1
O4 O 0.2791 0.9629 0.7633 1
O5 O 0.3268 0.4259 0.3453 1
O6 O 0.3443 0.9240 0.1625 1
O7 O 0.3833 0.4090 0.7143 1
O8 O 0.5682 0.1300 0.4528 1
O9 O 0.6330 0.1984 0.0584 1
O10 O 0.7851 0.9707 0.7537 1
O11 O 0.8413 0.4576 0.2813 1
O12 O 0.8521 0.8392 0.2554 1
O13 O 0.8834 0.3704 0.7205 1
F1 F 0.1584 0.2672 0.0478 1
F2 F 0.5413 0.6556 0.9353 1
F3 F 0.5859 0.7182 0.5472 1
```

The 10 most intense peaks (2θ from 10° to 80°), in order of falling intensity:
24.6 deg, intensity 100; 30.8 deg, intensity 36; 29.5 deg, intensity 36; 34.2 deg, intensity 34; 31.1 deg, intensity 33; 34.6 deg, intensity 30; 42.0 deg, intensity 30; 59.8 deg, intensity 21; 29.0 deg, intensity 21; 53.3 deg, intensity 18

# 6
Starting from a structure optimized by DFT (PBE+U), the X-ray powder pattern of CaMn8O13F3 was simulated for copper Kα.
Lines closer than 0.1° are merged.

Structure:
```
data_CaMn8O13F3
_chemical_formula_sum 'Ca1 Mn8 O13 F3'
_space_group_name_H-M_alt 'P 1'
_space_group_IT_number 1
_cell_length_a 5.9927
_cell_length_b 6.6261
_cell_length_c 7.5193
_cell_angle_alpha 92.12
_cell_angle_beta 101.57
_cell_angle_gamma 91.92
loop_
_space_group_symop_operation_xyz
'x,y,z'
loop_
_atom_site_label
_atom_site_type_symbol
_atom_site_fract_x
_atom_site_fract_y
_atom_site_fract_z
_atom_site_occupancy
Ca1 Ca 0.0000 0.0000 0.0000 1
Mn1 Mn 0.0623 0.2501 0.3701 1
Mn2 Mn 0.1672 0.6814 0.7408 1
Mn3 Mn 0.3097 0.7040 0.3069 1
Mn4 Mn 0.3319 0.2123 0.7880 1
Mn5 Mn 0.5491 0.9669 0.1003 1
Mn6 Mn 0.6098 0.4554 0.5576 1
Mn7 Mn 0.7406 0.4901 0.1214 1
Mn8 Mn 0.7903 0.9511 0.5557 1
O1 O 0.0583 0.5131 0.2710 1
O2 O 0.0955 0.9698 0.7203 1
O3 O 0.1485 0.4247 0.8141 1
O4 O 0.2933 0.7712 0.0467 1
O5 O 0.3469 0.1727 0.0422 1
O6 O 0.3494 0.2599 0.5406 1
O7 O 0.3847 0.6667 0.5664 1
O8 O 0.5311 0.5038 0.3025 1
O9 O 0.5400 0.9221 0.3430 1
O10 O 0.7507 0.7610 0.0720 1
O11 O 0.8031 0.2008 0.1593 1
O12 O 0.8193 0.2405 0.5329 1
O13 O 0.8440 0.6692 0.6034 1
F1 F 0.0936 0.9415 0.3329 1
F2 F 0.5967 0.0118 0.8210 1
F3 F 0.6377 0.4220 0.8363 1
```

The 10 most intense peaks (2θ from 10° to 80°), in order of falling intensity:
25.8 deg, intensity 100; 30.5 deg, intensity 57; 21.9 deg, intensity 55; 31.2 deg, intensity 51; 33.7 deg, intensity 46; 31.6 deg, intensity 44; 55.6 deg, intensity 30; 29.4 deg, intensity 28; 36.7 deg, intensity 24; 35.7 deg, intensity 21

# 7
Starting from a structure optimized by DFT (PBE+U), the X-ray powder pattern of CaNiF6 was simulated for copper Kα.
Lines closer than 0.1° are merged.

Structure:
```
data_CaNiF6
_chemical_formula_sum 'Ca3 Ni3 F18'
_space_group_name_H-M_alt 'R -3'
_space_group_IT_number 148
_space_group_name_Hall '-R 3'
_cell_length_a 5.5047
_cell_length_b 5.5047
_cell_length_c 14.0484
_cell_angle_alpha 90.00
_cell_angle_beta 90.00
_cell_angle_gamma 120.00
loop_
_atom_site_label
_atom_site_type_symbol
_atom_site_fract_x
_atom_site_fract_y
_atom_site_fract_z
_atom_site_occupancy
Ca1 Ca 0.0000 0.0000 0.0000 1
Ni1 Ni 0.0000 0.0000 0.5000 1
F1 F 0.0435 0.4300 0.2405 1
```

The 10 most intense peaks (2θ from 10° to 80°), in order of falling intensity:
22.5 deg, intensity 100; 51.2 deg, intensity 22; 46.0 deg, intensity 19; 31.6 deg, intensity 16; 37.9 deg, intensity 15; 19.7 deg, intensity 14; 52.4 deg, intensity 12; 57.5 deg, intensity 8; 32.5 deg, intensity 8; 58.0 deg, intensity 7